[1]
This entry pairs a crystal structure of Ca2La3Si3O13 with its computed powder X-ray diffraction pattern. Radiation: Cu Ka. Structure: DFT lattice parameters and positions (GGA-PBE).
Peak positions follow from Bragg's law for the DFT cell and can differ from measured ones.

Most intense lines, 10° ≤ 2θ ≤ 90°, low angle first:
hkl 1 0 0, 10.48°, 8.442 Å, intensity 16; hkl 1 1 1, 22.09°, 4.025 Å, intensity 31; hkl 0 0 2, 24.96°, 3.568 Å, intensity 32; hkl 1 2 0, 27.96°, 3.191 Å, intensity 16; hkl 1 2 1, 30.69°, 2.913 Å, intensity 100; hkl 1 1 2, 31.06°, 2.879 Å, intensity 20; hkl 3 0 0, 31.80°, 2.814 Å, intensity 16; hkl 1 2 3, 47.69°, 1.907 Å, intensity 34; hkl 2 3 1, 48.72°, 1.869 Å, intensity 23; hkl 4 0 2, 50.23°, 1.817 Å, intensity 22

Crystal structure
a b c (Å): 9.7479 9.7479 7.1360
angles (deg): 90.00 90.00 120.00
Space group P6_3/m (No. 176)
Inequivalent atoms, fractional coordinates:
Ca: 0.3333 0.6667 0.0034 x4
La: 0.0117 0.7599 0.2500 x6
Si: 0.0303 0.6280 0.7500 x6
O: 0.0000 0.0000 0.2500 x2
O: 0.0894 0.7501 0.5683 x12
O: 0.1290 0.5321 0.7500 x6
O: 0.1617 0.4878 0.2500 x6

---

[2]
This entry pairs a crystal structure of Mn4As3 with its computed powder X-ray diffraction pattern. Radiation: Cu Ka. Structure: DFT lattice parameters and positions (GGA-PBE).
Peak positions follow from Bragg's law for the DFT cell and can differ from measured ones.

Most intense lines, 10° ≤ 2θ ≤ 90°, low angle first:
hkl 3 1 -1, 33.05°, 2.711 Å, intensity 57; hkl 1 1 2, 33.85°, 2.648 Å, intensity 70; hkl 3 1 2, 41.31°, 2.185 Å, intensity 86; hkl 6 0 -2, 42.78°, 2.114 Å, intensity 55; hkl 5 1 -1, 43.19°, 2.094 Å, intensity 35; hkl 5 1 0, 44.06°, 2.055 Å, intensity 31; hkl 2 0 4, 45.38°, 1.998 Å, intensity 40; hkl 3 1 -4, 48.03°, 1.894 Å, intensity 100; hkl 0 2 0, 51.72°, 1.767 Å, intensity 55; hkl 6 2 -2, 69.30°, 1.356 Å, intensity 24

Crystal structure
a b c (Å): 13.010 3.535 9.400
angles (deg): 90.00 103.85 90.00
Space group C2/m (No. 12)
Inequivalent atoms, fractional coordinates:
Mn: 0.000 0.000 0.000 x2
Mn: 0.000 0.000 0.500 x2
Mn: 0.068 0.500 0.212 x4
Mn: 0.157 0.500 0.950 x4
Mn: 0.217 0.000 0.666 x4
As: 0.062 0.000 0.773 x4
As: 0.138 0.500 0.479 x4
As: 0.187 0.000 0.153 x4